The following is a calculated PXRD pattern of SmInPb2. It was derived from the PBE geometry in Alexandria, using CuKα.
Kinematic intensities with the Lorentz-polarization factor, no thermal factor.

Atomic structure:
Cell lengths 4.8366, 4.8366, 4.8484 Å; angles 90.00, 90.00, 90.00 degrees
Space group P4/mmm (No. 123)
Asymmetric unit:
Sm (0.0000, 0.0000, 0.0000) x1
In (0.5000, 0.5000, 0.0000) x1
Pb (0.0000, 0.5000, 0.5000) x2

Main lines, in order of falling intensity (2θ from 10° to 90°):
Position (°2θ)  I_rel
32.03  100
37.15  51
53.55  36
63.81  28
63.69  14
87.89  12
66.97  12
88.01  6
18.30  4
26.05  4


The following is a calculated PXRD pattern of GaCuF4. It was derived from the PBE geometry in Alexandria, using CuKα.
Kinematic intensities with the Lorentz-polarization factor, no thermal factor.

Atomic structure:
Cell lengths 5.8192, 5.9154, 6.0525 Å; angles 90.00, 90.00, 90.00 degrees
Space group P222 (No. 16)
Asymmetric unit:
Ga (0.0000, 0.0000, 0.0000) x1
Ga (0.5000, 0.0000, 0.5000) x1
Cu (0.0000, 0.0000, 0.5000) x1
Cu (0.0000, 0.5000, 0.0000) x1
F (0.1734, 0.2159, 0.8615) x4
F (0.2938, 0.1756, 0.3552) x4

Main lines, in order of falling intensity (2θ from 10° to 90°):
Position (°2θ)  I_rel
14.98  100
21.18  75
15.23  56
21.00  50
43.64  42
42.75  32
43.13  32
29.52  30
53.56  25
37.52  22